[1]
For RbNa10Sr, DFT lattice parameters and positions (PBE) gives the calculated powder X-ray diffraction pattern in this record (Cu Kα X-rays).

Atomic structure:
a b c (Å): 5.7822 7.2571 12.4961
angles (deg): 90.00 90.00 90.00
Sites, in units of the cell vectors:
Rb  0.0000  0.0000  0.0000
Na  0.0000  0.0000  0.3401
Na  0.0000  0.0000  0.6599
Na  0.0000  0.5000  0.1754
Na  0.0000  0.5000  0.8246
Na  0.5000  0.0000  0.5000
Na  0.5000  0.2613  0.2672
Na  0.5000  0.2613  0.7328
Na  0.5000  0.5000  0.0000
Na  0.5000  0.7387  0.2672
Na  0.5000  0.7387  0.7328
Sr  0.0000  0.5000  0.5000

Top 10 peaks for 2θ from 15° to 90°, by intensity:
| d [Å] | 2theta | Rel. int. |
| --- | --- | --- |
| 3.067 | 29.1 | 100 |
| 4.250 | 20.9 | 66 |
| 3.138 | 28.4 | 25 |
| 2.891 | 30.9 | 24 |
| 2.125 | 42.5 | 24 |
| 3.613 | 24.6 | 24 |
| 2.259 | 39.9 | 20 |
| 1.967 | 46.1 | 17 |
| 1.701 | 53.9 | 17 |
| 2.189 | 41.2 | 14 |

=====

[2]
For Rb2Na2Sr, DFT lattice parameters and positions (PBE) gives the calculated powder X-ray diffraction pattern in this record (Cu Kα X-rays).

Atomic structure:
a b c (Å): 8.2049 8.2049 8.2049
angles (deg): 130.95 130.95 71.89
Sites, in units of the cell vectors:
Rb  0.1388  0.1388  0.0000
Rb  0.8612  0.8612  0.0000
Na  0.2500  0.7500  0.5000
Na  0.7500  0.2500  0.5000
Sr  0.5000  0.5000  0.0000

Top 10 peaks for 2θ from 15° to 90°, by intensity:
| d [Å] | 2theta | Rel. int. |
| --- | --- | --- |
| 3.713 | 24.0 | 100 |
| 4.816 | 18.4 | 74 |
| 2.510 | 35.8 | 70 |
| 3.406 | 26.2 | 68 |
| 2.408 | 37.3 | 26 |
| 3.899 | 22.8 | 23 |
| 1.738 | 52.7 | 23 |
| 2.020 | 44.9 | 18 |
| 2.154 | 41.9 | 18 |
| 2.012 | 45.1 | 16 |

=====

[3]
For RbNa8Sr3, DFT lattice parameters and positions (PBE) gives the calculated powder X-ray diffraction pattern in this record (Cu Kα X-rays).

Atomic structure:
a b c (Å): 7.2038 7.2038 11.9201
angles (deg): 90.00 90.00 120.00
Sites, in units of the cell vectors:
Rb  0.0000  0.0000  0.0000
Na  0.1644  0.3289  0.6774
Na  0.1644  0.8356  0.6774
Na  0.3333  0.6667  0.4355
Na  0.3333  0.6667  0.9324
Na  0.5039  0.0078  0.1935
Na  0.5039  0.4961  0.1935
Na  0.6711  0.8356  0.6774
Na  0.9922  0.4961  0.1935
Sr  0.0000  0.0000  0.3825
Sr  0.6667  0.3333  0.4985
Sr  0.6667  0.3333  0.8598

Top 10 peaks for 2θ from 15° to 90°, by intensity:
| d [Å] | 2theta | Rel. int. |
| --- | --- | --- |
| 3.351 | 26.6 | 100 |
| 3.083 | 29.0 | 88 |
| 3.602 | 24.7 | 70 |
| 2.028 | 44.7 | 46 |
| 3.018 | 29.6 | 44 |
| 1.894 | 48.0 | 33 |
| 1.963 | 46.2 | 23 |
| 1.801 | 50.7 | 23 |
| 1.676 | 54.8 | 21 |
| 1.586 | 58.2 | 21 |

=====

[4]
For RbNa2Te2, DFT lattice parameters and positions (PBE) gives the calculated powder X-ray diffraction pattern in this record (Cu Kα X-rays).

Atomic structure:
a b c (Å): 7.7870 7.7870 7.7870
angles (deg): 141.17 141.17 56.08
Sites, in units of the cell vectors:
Rb  0.0000  0.0000  0.0000
Na  0.2500  0.7500  0.5000
Na  0.7500  0.2500  0.5000
Te  0.3789  0.3789  0.0000
Te  0.6211  0.6211  0.0000

Top 10 peaks for 2θ from 15° to 90°, by intensity:
| d [Å] | 2theta | Rel. int. |
| --- | --- | --- |
| 3.431 | 26.0 | 100 |
| 3.660 | 24.3 | 74 |
| 2.588 | 34.7 | 53 |
| 2.066 | 43.8 | 51 |
| 2.428 | 37.0 | 49 |
| 1.771 | 51.6 | 37 |
| 4.844 | 18.3 | 31 |
| 3.231 | 27.6 | 29 |
| 2.505 | 35.8 | 29 |
| 1.830 | 49.8 | 19 |

=====

[5]
For Rb3NaTh3Te8, DFT lattice parameters and positions (PBE) gives the calculated powder X-ray diffraction pattern in this record (Cu Kα X-rays).

Atomic structure:
a b c (Å): 10.1191 10.1191 10.1191
angles (deg): 54.45 54.45 54.45
Sites, in units of the cell vectors:
Rb  0.0000  0.5000  0.5000
Rb  0.5000  0.0000  0.5000
Rb  0.5000  0.5000  0.0000
Na  0.5000  0.5000  0.5000
Th  0.0000  0.0000  0.5000
Th  0.0000  0.5000  0.0000
Th  0.5000  0.0000  0.0000
Te  0.2145  0.7430  0.7430
Te  0.2358  0.2358  0.2358
Te  0.2570  0.2570  0.7855
Te  0.2570  0.7855  0.2570
Te  0.7430  0.2145  0.7430
Te  0.7430  0.7430  0.2145
Te  0.7642  0.7642  0.7642
Te  0.7855  0.2570  0.2570

Top 10 peaks for 2θ from 15° to 90°, by intensity:
| d [Å] | 2theta | Rel. int. |
| --- | --- | --- |
| 3.404 | 26.2 | 100 |
| 2.315 | 38.9 | 37 |
| 2.511 | 35.8 | 34 |
| 1.914 | 47.5 | 19 |
| 2.712 | 33.0 | 18 |
| 1.475 | 63.0 | 16 |
| 2.023 | 44.8 | 12 |
| 1.574 | 58.6 | 11 |
| 1.702 | 53.9 | 10 |
| 1.371 | 68.4 | 10 |

=====

[6]
For RbNa8Tl4, DFT lattice parameters and positions (PBE) gives the calculated powder X-ray diffraction pattern in this record (Cu Kα X-rays).

Atomic structure:
a b c (Å): 8.7773 8.7773 8.7773
angles (deg): 98.36 98.36 135.17
Sites, in units of the cell vectors:
Rb  0.0000  0.0000  0.0000
Na  0.0000  0.3412  0.3412
Na  0.0000  0.6588  0.6588
Na  0.2738  0.5000  0.7738
Na  0.3412  0.0000  0.3412
Na  0.5000  0.2738  0.7738
Na  0.5000  0.7262  0.2262
Na  0.6588  0.0000  0.6588
Na  0.7262  0.5000  0.2262
Tl  0.0000  0.0000  0.5000
Tl  0.0000  0.5000  0.0000
Tl  0.5000  0.0000  0.0000
Tl  0.5000  0.5000  0.5000

Top 10 peaks for 2θ from 15° to 90°, by intensity:
| d [Å] | 2theta | Rel. int. |
| --- | --- | --- |
| 5.738 | 15.4 | 100 |
| 2.891 | 30.9 | 71 |
| 4.058 | 21.9 | 58 |
| 2.869 | 31.2 | 46 |
| 2.582 | 34.7 | 44 |
| 2.036 | 44.5 | 43 |
| 2.566 | 35.0 | 36 |
| 1.437 | 64.9 | 17 |
| 1.595 | 57.8 | 17 |
| 1.661 | 55.3 | 16 |

=====

[7]
For Rb6Na12Tl, DFT lattice parameters and positions (PBE) gives the calculated powder X-ray diffraction pattern in this record (Cu Kα X-rays).

Atomic structure:
a b c (Å): 10.2139 10.2139 10.2139
angles (deg): 102.14 102.14 102.14
Sites, in units of the cell vectors:
Rb  0.0670  0.3805  0.3018
Rb  0.3018  0.0670  0.3805
Rb  0.3805  0.3018  0.0670
Rb  0.6195  0.6982  0.9330
Rb  0.6982  0.9330  0.6195
Rb  0.9330  0.6195  0.6982
Na  0.0311  0.6964  0.1370
Na  0.1370  0.0311  0.6964
Na  0.2610  0.4076  0.6905
Na  0.3036  0.8630  0.9689
Na  0.3095  0.7390  0.5924
Na  0.4076  0.6905  0.2610
Na  0.5924  0.3095  0.7390
Na  0.6905  0.2610  0.4076
Na  0.6964  0.1370  0.0311
Na  0.7390  0.5924  0.3095
Na  0.8630  0.9689  0.3036
Na  0.9689  0.3036  0.8630
Tl  0.5000  0.5000  0.5000

Top 10 peaks for 2θ from 15° to 90°, by intensity:
| d [Å] | 2theta | Rel. int. |
| --- | --- | --- |
| 4.852 | 18.3 | 100 |
| 3.208 | 27.8 | 69 |
| 3.069 | 29.1 | 63 |
| 3.270 | 27.3 | 63 |
| 3.321 | 26.8 | 61 |
| 3.333 | 26.7 | 55 |
| 3.003 | 29.7 | 51 |
| 2.202 | 41.0 | 45 |
| 2.975 | 30.0 | 45 |
| 3.908 | 22.8 | 40 |

=====

[8]
For Rb2Na4Tl3, DFT lattice parameters and positions (PBE) gives the calculated powder X-ray diffraction pattern in this record (Cu Kα X-rays).

Atomic structure:
a b c (Å): 10.5888 9.3033 6.9344
angles (deg): 79.95 59.90 40.15
Sites, in units of the cell vectors:
Rb  0.1186  0.1186  0.8814
Rb  0.8814  0.8814  0.1186
Na  0.1690  0.5050  0.4950
Na  0.4950  0.8310  0.1690
Na  0.5050  0.1690  0.8310
Na  0.8310  0.4950  0.5050
Tl  0.0000  0.0000  0.5000
Tl  0.5000  0.5000  0.0000
Tl  0.5000  0.5000  0.5000

Top 10 peaks for 2θ from 15° to 90°, by intensity:
| d [Å] | 2theta | Rel. int. |
| --- | --- | --- |
| 2.781 | 32.2 | 100 |
| 2.936 | 30.4 | 74 |
| 2.864 | 31.2 | 54 |
| 2.972 | 30.1 | 49 |
| 4.121 | 21.6 | 45 |
| 3.034 | 29.4 | 41 |
| 2.988 | 29.9 | 40 |
| 1.745 | 52.4 | 38 |
| 2.432 | 37.0 | 36 |
| 2.060 | 44.0 | 35 |

=====

[9]
For Rb3Na6Tl, DFT lattice parameters and positions (PBE) gives the calculated powder X-ray diffraction pattern in this record (Cu Kα X-rays).

Atomic structure:
a b c (Å): 10.2164 10.2164 10.2164
angles (deg): 78.15 78.15 78.15
Sites, in units of the cell vectors:
Rb  0.1549  0.1549  0.5441
Rb  0.1549  0.5441  0.1549
Rb  0.4559  0.8451  0.8451
Rb  0.5441  0.1549  0.1549
Rb  0.8451  0.4559  0.8451
Rb  0.8451  0.8451  0.4559
Na  0.0808  0.7876  0.7876
Na  0.1842  0.5553  0.5553
Na  0.2124  0.2124  0.9192
Na  0.2124  0.9192  0.2124
Na  0.4447  0.4447  0.8158
Na  0.4447  0.8158  0.4447
Na  0.5553  0.1842  0.5553
Na  0.5553  0.5553  0.1842
Na  0.7876  0.0808  0.7876
Na  0.7876  0.7876  0.0808
Na  0.8158  0.4447  0.4447
Na  0.9192  0.2124  0.2124
Tl  0.0000  0.0000  0.0000
Tl  0.5000  0.5000  0.5000

Top 10 peaks for 2θ from 15° to 90°, by intensity:
| d [Å] | 2theta | Rel. int. |
| --- | --- | --- |
| 3.286 | 27.1 | 100 |
| 3.913 | 22.7 | 89 |
| 4.753 | 18.7 | 52 |
| 4.926 | 18.0 | 33 |
| 3.220 | 27.7 | 30 |
| 2.000 | 45.3 | 27 |
| 2.550 | 35.2 | 27 |
| 2.300 | 39.2 | 26 |
| 3.077 | 29.0 | 24 |
| 2.147 | 42.1 | 23 |

=====

[10]
For RbNa4Tl5, DFT lattice parameters and positions (PBE) gives the calculated powder X-ray diffraction pattern in this record (Cu Kα X-rays).

Atomic structure:
a b c (Å): 4.0127 4.0127 19.4109
angles (deg): 90.00 90.00 90.00
Sites, in units of the cell vectors:
Rb  0.0000  0.0000  0.0000
Na  0.0000  0.0000  0.2249
Na  0.0000  0.0000  0.4076
Na  0.0000  0.0000  0.5924
Na  0.0000  0.0000  0.7751
Tl  0.5000  0.5000  0.1381
Tl  0.5000  0.5000  0.3158
Tl  0.5000  0.5000  0.5000
Tl  0.5000  0.5000  0.6842
Tl  0.5000  0.5000  0.8619

Top 10 peaks for 2θ from 15° to 90°, by intensity:
| d [Å] | 2theta | Rel. int. |
| --- | --- | --- |
| 4.013 | 22.2 | 100 |
| 2.790 | 32.1 | 92 |
| 2.837 | 31.5 | 90 |
| 2.519 | 35.6 | 44 |
| 1.629 | 56.5 | 37 |
| 2.006 | 45.2 | 33 |
| 2.133 | 42.4 | 30 |
| 1.615 | 57.0 | 24 |
| 1.795 | 50.9 | 23 |
| 3.235 | 27.6 | 23 |

=====

[11]
For Rb3Na4Tl, DFT lattice parameters and positions (PBE) gives the calculated powder X-ray diffraction pattern in this record (Cu Kα X-rays).

Atomic structure:
a b c (Å): 12.3115 8.5560 7.6619
angles (deg): 90.00 90.00 90.00
Sites, in units of the cell vectors:
Rb  0.0000  0.0155  0.0000
Rb  0.1926  0.1816  0.4990
Rb  0.3074  0.8184  0.9990
Rb  0.5000  0.9845  0.5000
Rb  0.6926  0.8184  0.9990
Rb  0.8074  0.1816  0.4990
Na  0.0000  0.5358  0.7690
Na  0.0000  0.5374  0.2306
Na  0.2363  0.6517  0.4986
Na  0.2637  0.3483  0.9986
Na  0.5000  0.4626  0.7306
Na  0.5000  0.4642  0.2690
Na  0.7363  0.3483  0.9986
Na  0.7637  0.6517  0.4986
Tl  0.0000  0.8302  0.5010
Tl  0.5000  0.1698  0.0010

Top 10 peaks for 2θ from 15° to 90°, by intensity:
| d [Å] | 2theta | Rel. int. |
| --- | --- | --- |
| 4.185 | 21.2 | 100 |
| 3.193 | 27.9 | 84 |
| 3.831 | 23.2 | 64 |
| 3.574 | 24.9 | 57 |
| 3.700 | 24.1 | 52 |
| 2.612 | 34.3 | 49 |
| 2.343 | 38.4 | 44 |
| 2.661 | 33.7 | 38 |
| 3.496 | 25.5 | 36 |
| 1.811 | 50.4 | 33 |

=====

[12]
For RbNa9Tl3, DFT lattice parameters and positions (PBE) gives the calculated powder X-ray diffraction pattern in this record (Cu Kα X-rays).

Atomic structure:
a b c (Å): 8.8733 8.8733 8.8972
angles (deg): 98.20 98.20 135.43
Sites, in units of the cell vectors:
Rb  0.0000  0.0000  0.0000
Na  0.0000  0.0000  0.5000
Na  0.0048  0.3555  0.3394
Na  0.2911  0.5170  0.7801
Na  0.3555  0.0048  0.3394
Na  0.4830  0.7089  0.2199
Na  0.5170  0.2911  0.7801
Na  0.6445  0.9952  0.6606
Na  0.7089  0.4830  0.2199
Na  0.9952  0.6445  0.6606
Tl  0.0000  0.5000  0.0000
Tl  0.5000  0.0000  0.0000
Tl  0.5000  0.5000  0.5000

Top 10 peaks for 2θ from 15° to 90°, by intensity:
| d [Å] | 2theta | Rel. int. |
| --- | --- | --- |
| 2.911 | 30.7 | 100 |
| 5.819 | 15.2 | 89 |
| 2.605 | 34.4 | 51 |
| 4.120 | 21.6 | 38 |
| 2.060 | 43.9 | 27 |
| 2.055 | 44.1 | 24 |
| 4.105 | 21.6 | 21 |
| 2.598 | 34.5 | 16 |
| 1.455 | 64.0 | 14 |
| 3.363 | 26.5 | 13 |